Structure and calculated X-ray diffraction stick pattern of Ti3Ni2 (a crystal structure in Alexandria, relaxed with GGA-PBE; copper Kα).
Lines closer than 0.1° are merged.

Atomic structure:
Lattice parameters (Å, degrees): 6.282 6.282 6.282 73.09 73.09 73.09
Atoms (fractional coordinates):
1 Ti 0.000 0.000 0.000
2 Ti 0.179 0.405 0.639
3 Ti 0.221 0.221 0.221
4 Ti 0.361 0.821 0.595
5 Ti 0.405 0.639 0.179
6 Ti 0.595 0.361 0.821
7 Ti 0.639 0.179 0.405
8 Ti 0.779 0.779 0.779
9 Ti 0.821 0.595 0.361
10 Ni 0.047 0.843 0.405
11 Ni 0.157 0.595 0.953
12 Ni 0.405 0.047 0.843
13 Ni 0.595 0.953 0.157
14 Ni 0.843 0.405 0.047
15 Ni 0.953 0.157 0.595

Main lines, in order of falling intensity (10 to 80 degrees two-theta):
2theta, Rel. int.
39.1, 1000
45.6, 691
39.5, 370
41.8, 358
46.6, 315
37.3, 260
30.9, 147
52.9, 139
66.7, 138
51.3, 117